Record 1
Calculated X-ray powder pattern of KCaPt for Cu Kα (weighted mean of Kα1 and Kα2), from a GGA-PBE-relaxed structure.
Lines closer than 0.1° are merged.

Structure:
abc: 7.7074 7.7074 7.7074
angles: 152.04 152.04 39.96
Sites, in units of the cell vectors:
K 0.0000 0.0000 0.0000
Ca 0.7605 0.7605 0.0000
Pt 0.3435 0.3435 0.0000

Most intense lines, 2θ = 15–90°, most intense first:
- d = 2.949 Å, 2θ = 30.31°, I = 100
- d = 3.607 Å, 2θ = 24.68°, I = 52
- d = 2.634 Å, 2θ = 34.04°, I = 51
- d = 2.287 Å, 2θ = 39.40°, I = 47
- d = 2.475 Å, 2θ = 36.30°, I = 44
- d = 1.575 Å, 2θ = 58.63°, I = 30

Record 2
Calculated X-ray powder pattern of K2CaSi for Cu Kα (weighted mean of Kα1 and Kα2), from a GGA-PBE-relaxed structure.
Lines closer than 0.1° are merged.

Structure:
abc: 10.3840 10.3840 4.8467
angles: 103.40 103.40 20.29
Sites, in units of the cell vectors:
K 0.1519 0.1519 0.1499
K 0.8481 0.8481 0.8501
Ca 0.0000 0.0000 0.5000
Si 0.5000 0.5000 0.0000

Most intense lines, 2θ = 15–90°, most intense first:
- d = 2.517 Å, 2θ = 35.67°, I = 100
- d = 3.911 Å, 2θ = 22.74°, I = 81
- d = 2.801 Å, 2θ = 31.95°, I = 73
- d = 3.311 Å, 2θ = 26.92°, I = 61
- d = 1.643 Å, 2θ = 55.98°, I = 30
- d = 2.423 Å, 2θ = 37.10°, I = 28

- Which formula does entry 2 have?
  K2CaSi